Entry 1:
CsGaFeCl6: computed X-ray powder pattern (Cu Kα (λ = 1.5418 Å)), based on a GGA-PBE-relaxed structure.

Atomic structure:
```
data_CsGaFeCl6
_chemical_formula_sum 'Cs1 Ga1 Fe1 Cl6'
_cell_length_a 6.419
_cell_length_b 6.419
_cell_length_c 7.813
_cell_angle_alpha 90.05
_cell_angle_beta 90.05
_cell_angle_gamma 119.98
_symmetry_space_group_name_H-M 'P 1'
_symmetry_Int_Tables_number 1
loop_
_symmetry_equiv_pos_as_xyz
'x,y,z'
loop_
_atom_site_label
_atom_site_fract_x
_atom_site_fract_y
_atom_site_fract_z
_atom_site_occupancy
Cs1 0.000 0.000 0.000 1
Ga1 0.667 0.333 0.500 1
Fe1 0.333 0.667 0.500 1
Cl1 0.382 0.007 0.677 1
Cl2 0.383 0.376 0.322 1
Cl3 0.624 0.617 0.678 1
Cl4 0.626 0.007 0.323 1
Cl5 0.993 0.374 0.677 1
Cl6 0.993 0.618 0.323 1
```

Top 10 peaks for 2θ from 15° to 90°, low angle first:
2θ/deg	d [Å]	Rel. int.
19.6	4.530	100
27.8	3.210	12
30.1	2.969	20
34.2	2.619	14
36.2	2.480	57
44.7	2.029	22
47.9	1.901	15
49.2	1.853	18
55.0	1.669	14
61.3	1.513	11



Entry 2:
CsFe2HCl8: computed X-ray powder pattern (Cu Kα (λ = 1.5418 Å)), based on a GGA-PBE-relaxed structure.

Atomic structure:
```
data_CsFe2HCl8
_chemical_formula_sum 'Cs1 Fe2 H1 Cl8'
_cell_length_a 7.744
_cell_length_b 7.744
_cell_length_c 9.235
_cell_angle_alpha 115.27
_cell_angle_beta 115.27
_cell_angle_gamma 49.96
_symmetry_space_group_name_H-M 'P 1'
_symmetry_Int_Tables_number 1
loop_
_symmetry_equiv_pos_as_xyz
'x,y,z'
loop_
_atom_site_label
_atom_site_fract_x
_atom_site_fract_y
_atom_site_fract_z
_atom_site_occupancy
Cs1 0.000 0.000 0.000 1
Fe1 0.178 0.178 0.657 1
Fe2 0.822 0.822 0.343 1
H1 0.500 0.500 0.500 1
Cl1 0.179 0.639 0.313 1
Cl2 0.181 0.181 0.424 1
Cl3 0.343 0.343 0.865 1
Cl4 0.361 0.821 0.687 1
Cl5 0.639 0.179 0.313 1
Cl6 0.657 0.657 0.135 1
Cl7 0.819 0.819 0.576 1
Cl8 0.821 0.361 0.687 1
```

Top 10 peaks for 2θ from 15° to 90°, low angle first:
2θ/deg	d [Å]	Rel. int.
15.3	5.784	59
19.7	4.517	63
20.7	4.291	28
21.7	4.089	49
23.4	3.804	100
30.4	2.937	52
31.7	2.827	34
35.2	2.552	24
49.0	1.859	25
52.4	1.746	24